Structure and computed powder X-ray diffraction pattern of Os4O11 (the PBE geometry in OQMD; Cu Kα (λ = 1.5418 Å)).

Structure:
```
Os4O11
1.0
4.880 0.000 0.000
1.201 4.832 0.000
1.826 0.296 8.532
Os O
4 11
Cartesian
0.000 0.000 0.000
1.964 3.408 2.547
4.665 1.366 6.481
5.853 3.948 5.371
2.509 4.068 4.259
1.061 0.222 1.650
3.103 0.976 7.486
3.078 2.139 2.353
4.283 3.234 6.263
3.806 0.799 4.857
5.478 1.666 8.408
5.286 3.289 3.574
6.728 4.476 7.063
6.250 2.037 5.695
5.679 3.290 0.967
```

Most intense lines, 10 to 90 degrees two-theta, in order of falling intensity:
two_theta, intensity, (hkl)
23.53, 100, 1 0 -1
20.82, 97, 0 1 1
19.90, 89, 1 0 1
23.33, 65, 1 1 0
25.44, 57, 1 0 2
10.37, 53, 0 0 1
27.38, 49, 0 1 2
21.45, 45, 0 1 -1
44.61, 43, 1 1 4
19.11, 43, 1 0 0